# CeTl2AsS4
Calculated powder diffraction line list, Cu Kα. Input: a structure optimized by DFT (GGA-PBE).

The 12 most intense peaks (2θ = 10–80°), by angle:
- 2θ = 25.86°, I = 65.7
- 2θ = 26.40°, I = 60.8
- 2θ = 30.22°, I = 100.0
- 2θ = 30.36°, I = 49.3
- 2θ = 42.57°, I = 18.2
- 2θ = 43.36°, I = 70.9
- 2θ = 43.94°, I = 17.7
- 2θ = 50.79°, I = 25.1
- 2θ = 51.69°, I = 22.5
- 2θ = 53.18°, I = 18.2
- 2θ = 54.34°, I = 18.2
- 2θ = 71.37°, I = 14.7

Structure:
```
CeTl2AsS4
1.0
-4.122 4.248 5.888
4.122 -4.248 5.888
4.122 4.248 -5.888
Ce Tl As S
2 4 2 8
Direct
0.000 0.000 0.000
0.500 0.000 0.500
0.000 0.500 0.500
0.500 0.000 0.000
0.500 0.500 0.000
0.500 0.500 0.500
0.000 0.000 0.500
0.000 0.500 0.000
0.193 0.239 0.955
0.216 0.761 0.455
0.226 0.199 0.473
0.226 0.752 0.027
0.774 0.248 0.973
0.774 0.801 0.527
0.784 0.239 0.545
0.807 0.761 0.045
```